This entry pairs a crystal structure of Tl5Cu14Se10 with its theoretical powder diffraction line list. Radiation: a wavelength of 1.5418 Å. Structure: the GGA-PBE geometry in OQMD.

Principal peaks in the range 5 to 70 degrees two-theta, in order of falling intensity:
- d = 2.617 Å, intensity 100
- d = 2.912 Å, intensity 98
- d = 2.355 Å, intensity 67
- d = 2.976 Å, intensity 57
- d = 1.967 Å, intensity 54
- d = 3.251 Å, intensity 53
- d = 1.890 Å, intensity 40
- d = 1.790 Å, intensity 40

Cell and atoms:
a b c (Å): 9.327 9.327 18.261
angles (deg): 116.45 116.45 24.35
Positions (direct):
Tl1 0.000 0.000 0.000
Tl2 0.113 0.113 0.599
Tl3 0.223 0.223 0.179
Tl4 0.777 0.777 0.821
Tl5 0.887 0.887 0.401
Cu1 0.024 0.024 0.215
Cu2 0.090 0.090 0.381
Cu3 0.191 0.191 0.952
Cu4 0.304 0.304 0.530
Cu5 0.364 0.364 0.686
Cu6 0.419 0.419 0.127
Cu7 0.476 0.476 0.282
Cu8 0.524 0.524 0.718
Cu9 0.581 0.581 0.873
Cu10 0.636 0.636 0.314
Cu11 0.696 0.696 0.470
Cu12 0.809 0.809 0.048
Cu13 0.910 0.910 0.619
Cu14 0.976 0.976 0.785
Se1 0.116 0.116 0.793
Se2 0.228 0.228 0.383
Se3 0.338 0.338 0.981
Se4 0.429 0.429 0.832
Se5 0.456 0.456 0.571
Se6 0.544 0.544 0.429
Se7 0.571 0.571 0.168
Se8 0.662 0.662 0.019
Se9 0.772 0.772 0.617
Se10 0.884 0.884 0.207

This entry pairs a crystal structure of ErTmAl3Ge2 with its theoretical powder diffraction line list. Radiation: a wavelength of 1.5418 Å. Structure: the GGA-PBE geometry in OQMD.

Principal peaks in the range 5 to 70 degrees two-theta, in order of falling intensity:
- d = 2.563 Å, intensity 100
- d = 2.513 Å, intensity 92
- d = 3.181 Å, intensity 59
- d = 6.617 Å, intensity 57
- d = 2.304 Å, intensity 51
- d = 2.024 Å, intensity 36
- d = 3.356 Å, intensity 36
- d = 1.918 Å, intensity 31

Cell and atoms:
a b c (Å): 5.479 5.479 6.712
angles (deg): 98.95 98.95 43.35
Positions (direct):
Er1 0.000 0.000 0.000
Tm1 0.232 0.232 0.633
Al1 0.313 0.313 0.193
Al2 0.616 0.616 0.317
Al3 0.918 0.918 0.440
Ge1 0.515 0.515 0.676
Ge2 0.716 0.716 0.956

This entry pairs a crystal structure of YTmBr2O2 with its theoretical powder diffraction line list. Radiation: a wavelength of 1.5418 Å. Structure: the GGA-PBE geometry in OQMD.

Principal peaks in the range 5 to 70 degrees two-theta, in order of falling intensity:
- d = 2.857 Å, intensity 100
- d = 8.636 Å, intensity 51
- d = 2.695 Å, intensity 43
- d = 1.585 Å, intensity 34
- d = 1.905 Å, intensity 21
- d = 2.297 Å, intensity 15
- d = 1.685 Å, intensity 14
- d = 2.286 Å, intensity 10

Cell and atoms:
a b c (Å): 3.811 3.811 8.636
angles (deg): 90.00 90.00 90.00
Positions (direct):
Y1 0.000 0.000 0.000
Tm1 0.500 0.500 0.261
Br1 0.000 0.000 0.453
Br2 0.500 0.500 0.809
O1 0.000 0.500 0.134
O2 0.500 0.000 0.134

This entry pairs a crystal structure of KZn2Cd2As2P with its theoretical powder diffraction line list. Radiation: a wavelength of 1.5418 Å. Structure: the GGA-PBE geometry in OQMD.

Principal peaks in the range 5 to 70 degrees two-theta, in order of falling intensity:
- d = 2.121 Å, intensity 100
- d = 3.295 Å, intensity 80
- d = 2.616 Å, intensity 74
- d = 12.415 Å, intensity 63
- d = 1.613 Å, intensity 56
- d = 2.259 Å, intensity 53
- d = 3.605 Å, intensity 50
- d = 2.483 Å, intensity 36

Cell and atoms:
a b c (Å): 12.655 12.655 12.655
angles (deg): 19.30 19.30 19.30
Positions (direct):
K1 0.000 0.000 0.000
Zn1 0.408 0.408 0.408
Zn2 0.592 0.592 0.592
Cd1 0.198 0.198 0.198
Cd2 0.802 0.802 0.802
As1 0.270 0.270 0.270
As2 0.730 0.730 0.730
P1 0.500 0.500 0.500